Entry 1:
The following is a simulated powder diffractogram of TbPr5Nd2Dy. It was derived from the PBE geometry in Alexandria, using copper Kα.

The 12 most intense peaks (10° ≤ 2θ ≤ 90°), most intense first:
(2 0 4), 2θ = 29.57°, 3.021 Å, rel. 100.0
(2 2 0), 2θ = 28.90°, 3.090 Å, rel. 51.5
(2 1 3), 2θ = 27.88°, 3.200 Å, rel. 44.7
(4 2 4), 2θ = 51.63°, 1.770 Å, rel. 26.3
(3 2 1), 2θ = 37.49°, 2.399 Å, rel. 13.8
(2 0 6), 2θ = 38.30°, 2.350 Å, rel. 13.0
(2 2 8), 2θ = 52.88°, 1.731 Å, rel. 12.7
(0 0 8), 2θ = 43.28°, 2.091 Å, rel. 12.3
(4 0 2), 2θ = 42.78°, 2.114 Å, rel. 12.3
(4 1 7), 2θ = 58.18°, 1.586 Å, rel. 12.2
(3 1 0), 2θ = 32.40°, 2.764 Å, rel. 11.0
(3 1 2), 2θ = 34.17°, 2.624 Å, rel. 10.8

Structural model:
```
data_TbPr5Nd2Dy
_space_group_name_H-M_alt 'I 4/m c m'
_space_group_IT_number 140
_space_group_name_Hall '-I 4 2c'
_cell_length_a 8.7392
_cell_length_b 8.7392
_cell_length_c 16.7245
_cell_angle_alpha 90.00
_cell_angle_beta 90.00
_cell_angle_gamma 90.00
loop_
_atom_site_label
_atom_site_fract_x
_atom_site_fract_y
_atom_site_fract_z
Tb1 0.0000 0.0000 0.2500
Pr1 0.0000 0.0000 0.0000
Pr2 0.2150 0.2850 0.1427
Nd1 0.1208 0.3792 0.5000
Dy1 0.0000 0.5000 0.2500
```

***

Entry 2:
The following is a simulated powder diffractogram of PaMn3Ni8. It was derived from the PBE geometry in Alexandria, using copper Kα.

The 12 most intense peaks (10° ≤ 2θ ≤ 90°), most intense first:
(1 1 2), 2θ = 44.24°, 2.047 Å, rel. 100.0
(1 0 3), 2θ = 40.94°, 2.204 Å, rel. 88.8
(2 0 1), 2θ = 45.03°, 2.013 Å, rel. 87.5
(1 1 0), 2θ = 37.37°, 2.406 Å, rel. 45.8
(1 0 1), 2θ = 24.22°, 3.675 Å, rel. 44.4
(1 0 2), 2θ = 31.43°, 2.846 Å, rel. 39.2
(2 1 3), 2θ = 69.83°, 1.347 Å, rel. 33.0
(0 0 1), 2θ = 11.36°, 7.791 Å, rel. 30.1
(3 0 2), 2θ = 72.20°, 1.308 Å, rel. 27.2
(0 2 5), 2θ = 76.30°, 1.248 Å, rel. 25.2
(1 0 0), 2θ = 21.32°, 4.168 Å, rel. 24.9
(2 2 0), 2θ = 79.70°, 1.203 Å, rel. 24.4

Structural model:
```
data_PaMn3Ni8
_space_group_name_H-M_alt 'P 3 m 1'
_space_group_IT_number 156
_cell_length_a 4.8126
_cell_length_b 4.8126
_cell_length_c 7.7913
_cell_angle_alpha 90.00
_cell_angle_beta 90.00
_cell_angle_gamma 120.00
loop_
_space_group_symop_operation_xyz
'x,y,z'
'-y,x-y,z'
'-x+y,-x,z'
'-y,-x,z'
'-x+y,y,z'
'x,x-y,z'
loop_
_atom_site_label
_atom_site_fract_x
_atom_site_fract_y
_atom_site_fract_z
Pa1 0.0000 0.0000 0.0000
Mn1 0.0000 0.0000 0.3872
Mn2 0.6667 0.3333 0.4932
Mn3 0.6667 0.3333 0.8298
Ni1 0.1645 0.3290 0.6761
Ni2 0.3333 0.6667 0.4292
Ni3 0.3333 0.6667 0.9284
Ni4 0.5032 0.0064 0.1861
```